Structure and theoretical PXRD pattern of Na4LaPb15 (DFT lattice parameters and positions (PBE); λ = 1.5418 Å (Cu Kα)).
Kinematic intensities with the Lorentz-polarization factor, no thermal factor.

Top 10 peaks for 2θ = 10–80°, most intense first:
2θ = 31.39°, I = 100, (1 1 5)
2θ = 52.44°, I = 36, (2 2 0)
2θ = 36.37°, I = 34, (2 0 0)
2θ = 62.36°, I = 29, (3 1 5)
2θ = 36.47°, I = 17, (0 0 10)
2θ = 17.97°, I = 16, (1 0 0)
2θ = 62.49°, I = 14, (1 1 15)
2θ = 25.52°, I = 14, (1 1 0)
2θ = 65.51°, I = 13, (2 2 10)
2θ = 40.88°, I = 9, (2 1 0)

Cell and atoms:
Cell lengths 4.940, 4.940, 24.634 Å; angles 90.00, 90.00, 90.00 degrees
Fractional positions:
Na (0.000, 0.000, 0.100)
Na (0.000, 0.000, 0.300)
Na (0.000, 0.000, 0.700)
Na (0.000, 0.000, 0.900)
La (0.000, 0.000, 0.500)
Pb (0.000, 0.500, 0.000)
Pb (0.000, 0.500, 0.199)
Pb (0.000, 0.500, 0.397)
Pb (0.000, 0.500, 0.603)
Pb (0.000, 0.500, 0.801)
Pb (0.500, 0.000, 0.000)
Pb (0.500, 0.000, 0.199)
Pb (0.500, 0.000, 0.397)
Pb (0.500, 0.000, 0.603)
Pb (0.500, 0.000, 0.801)
Pb (0.500, 0.500, 0.100)
Pb (0.500, 0.500, 0.299)
Pb (0.500, 0.500, 0.500)
Pb (0.500, 0.500, 0.701)
Pb (0.500, 0.500, 0.900)